# LuTaCo2Bi2
Theoretical powder XRD pattern, CuKα. Input: a cell relaxed with GGA-PBE.
No peak broadening, texture or thermal motion is included.

Peak list (10 most intense, 10° ≤ 2θ ≤ 90°, low angle first)
3.588 Å, 2θ 24.82, rel. 6, (0 2 1); 3.107 Å, 2θ 28.73, rel. 68, (1 2 0); 2.197 Å, 2θ 41.08, rel. 100, (2 0 0); 1.874 Å, 2θ 48.59, rel. 3, (2 2 1); 1.794 Å, 2θ 50.91, rel. 20, (0 4 2); 1.553 Å, 2θ 59.51, rel. 16, (2 4 0); 1.389 Å, 2θ 67.40, rel. 26, (1 6 0); 1.268 Å, 2θ 74.86, rel. 33, (3 2 2); 1.099 Å, 2θ 89.13, rel. 9, (4 0 0); 1.098 Å, 2θ 89.22, rel. 2, (0 8 0)

Crystal structure
a = 4.3926 Å, b = 8.7820 Å, c = 6.2200 Å
α = 90.00°, β = 90.00°, γ = 90.00°
Fractional coordinates of all 12 atoms:
Lu 0.0000 0.1250 0.0000
Lu 0.5000 0.8750 0.5000
Ta 0.0000 0.6230 0.0210
Ta 0.5000 0.3770 0.5210
Co 0.0000 0.3893 0.2775
Co 0.0000 0.8528 0.2389
Co 0.5000 0.1472 0.7389
Co 0.5000 0.6107 0.7775
Bi 0.0000 0.1268 0.4977
Bi 0.0000 0.6252 0.5258
Bi 0.5000 0.3748 0.0258
Bi 0.5000 0.8732 0.9977